Theoretical powder X-ray diffraction pattern of Ho2CuW4O16 for Cu Kα (weighted mean of Kα1 and Kα2), from a DFT-relaxed cell (PBE+U, Alexandria).
Lines closer than 0.1° are merged.

Cell and atoms:
Cell: 10.228 10.228 11.223 Å, 109.81 109.81 32.02°
Element x y z (fractional)
Ho  0.018  0.680  0.542
Ho  0.320  0.982  0.958
Ho  0.680  0.018  0.042
Ho  0.982  0.320  0.458
Cu  0.145  0.855  0.250
Cu  0.855  0.145  0.750
W  0.191  0.432  0.213
W  0.257  0.631  0.908
W  0.369  0.743  0.592
W  0.432  0.191  0.713
W  0.568  0.809  0.287
W  0.631  0.257  0.408
W  0.743  0.369  0.092
W  0.809  0.568  0.787
O  0.021  0.713  0.173
O  0.024  0.211  0.074
O  0.076  0.433  0.761
O  0.108  0.866  0.623
O  0.134  0.892  0.877
O  0.211  0.024  0.574
O  0.244  0.289  0.551
O  0.260  0.523  0.726
O  0.282  0.456  0.399
O  0.287  0.979  0.327
O  0.289  0.244  0.051
O  0.370  0.611  0.091
O  0.389  0.630  0.409
O  0.433  0.076  0.261
O  0.456  0.282  0.899
O  0.477  0.740  0.774
O  0.523  0.260  0.226
O  0.544  0.718  0.101
O  0.567  0.924  0.739
O  0.611  0.370  0.591
O  0.630  0.389  0.909
O  0.711  0.756  0.949
O  0.713  0.021  0.673
O  0.718  0.544  0.601
O  0.740  0.477  0.274
O  0.756  0.711  0.449
O  0.789  0.976  0.426
O  0.866  0.108  0.123
O  0.892  0.134  0.377
O  0.924  0.567  0.239
O  0.976  0.789  0.926
O  0.979  0.287  0.827

The 12 most intense peaks (2θ from 10° to 80°), sorted by position:
| two_theta | intensity |
| --- | --- |
| 20.7 | 15.0 |
| 23.9 | 77.8 |
| 24.9 | 23.0 |
| 27.6 | 96.3 |
| 28.9 | 100.0 |
| 30.0 | 38.5 |
| 35.2 | 43.4 |
| 36.4 | 23.8 |
| 42.3 | 15.6 |
| 50.7 | 24.5 |
| 52.0 | 22.0 |
| 52.3 | 27.1 |